Diffraction record for TiIn2Pt9. The powder diffraction line list is simulated, not measured: it uses a GGA-PBE-relaxed structure and Cu Kα.
Peak positions follow from Bragg's law for the DFT cell and can differ from measured ones.

The 10 most intense peaks (10° ≤ 2θ ≤ 80°), by angle:
4.014 Å, 22.15°, I 6.4
2.838 Å, 31.52°, I 5.6
2.318 Å, 38.86°, I 100.0
2.007 Å, 45.18°, I 48.9
1.795 Å, 50.86°, I 3.1
1.639 Å, 56.13°, I 2.2
1.419 Å, 65.80°, I 31.4
1.338 Å, 70.36°, I 1.5
1.330 Å, 70.83°, I 1.3
1.210 Å, 79.13°, I 37.0

```
12
Lattice="4.013 0.000 0.000 0.000 4.013 0.000 0.000 0.000 12.049" Properties=species:S:1:pos:R:3 pbc="T T T"
Ti 0.000 0.000 0.000
In 0.000 0.000 3.996
In 0.000 0.000 8.053
Pt 0.000 2.006 1.886
Pt 0.000 2.006 6.025
Pt 0.000 2.006 10.164
Pt 2.006 0.000 1.886
Pt 2.006 0.000 6.025
Pt 2.006 0.000 10.164
Pt 2.006 2.006 0.000
Pt 2.006 2.006 3.962
Pt 2.006 2.006 8.087
```

=====

Diffraction record for Li3CdRh. The powder diffraction line list is simulated, not measured: it uses a GGA-PBE-relaxed structure and Cu Kα.
Peak positions follow from Bragg's law for the DFT cell and can differ from measured ones.

The 10 most intense peaks (10° ≤ 2θ ≤ 80°), by angle:
5.834 Å, 15.19°, I 100.0
4.259 Å, 20.86°, I 15.4
3.483 Å, 25.57°, I 41.2
2.824 Å, 31.68°, I 31.0
2.323 Å, 38.77°, I 16.1
2.195 Å, 41.13°, I 82.3
2.158 Å, 41.87°, I 16.2
1.932 Å, 47.02°, I 16.6
1.639 Å, 56.12°, I 15.7
1.315 Å, 71.79°, I 14.0

```
10
Lattice="4.184 -5.336 0.000 4.184 5.336 0.000 -2.573 0.000 3.867" Properties=species:S:1:pos:R:3 pbc="T T T"
Li 2.092 2.668 0.000
Li 0.788 0.607 1.246
Li -0.499 -0.607 3.180
Li 0.806 -2.668 1.934
Li 6.294 0.607 0.688
Li 5.007 -0.607 2.621
Cd 2.254 2.249 2.901
Cd 3.541 -2.249 0.967
Rh 3.541 0.631 0.967
Rh 2.254 -0.631 2.901
```